1.
Theoretical XRD peak list of Mo2As3P for Cu Kα (λ = 1.5418 Å), from a crystal structure in Alexandria, relaxed with GGA-PBE.
Neutral-atom scattering factors, no anomalous dispersion.

Structural model:
```
Mo2As3P
1.0
9.0030 0.0000 0.0000
0.0000 3.2921 0.0000
-3.8135 0.0000 6.7008
Mo As P
4 6 2
Direct
0.0000 0.0000 0.0000
0.1835 0.5000 0.5830
0.5000 0.5000 0.0000
0.6835 0.0000 0.5830
0.2432 0.0000 0.8972
0.4378 0.0000 0.6817
0.4715 0.5000 0.3170
0.7432 0.5000 0.8972
0.9378 0.5000 0.6817
0.9715 0.0000 0.3170
0.1857 0.5000 0.2600
0.6857 0.0000 0.2600
```

Principal peaks in the range 2θ = 15–90°, in order of rising 2θ:
2θ (°)  intensity
34.71  1000
35.05  295
41.90  382
43.93  430
47.24  396
55.85  261

***

2.
Theoretical XRD peak list of BaMo for Cu Kα (λ = 1.5418 Å), from a crystal structure in Alexandria, relaxed with GGA-PBE.
Neutral-atom scattering factors, no anomalous dispersion.

Structural model:
```
BaMo
1.0
4.2405 0.0000 0.0000
0.0000 7.3215 0.0000
-2.0757 0.0000 9.5942
Ba Mo
4 4
Direct
0.1343 0.0000 0.2733
0.3657 0.5000 0.7267
0.6343 0.5000 0.2733
0.8657 0.0000 0.7267
0.0000 0.3332 0.0000
0.0000 0.6668 0.0000
0.5000 0.1668 0.0000
0.5000 0.8332 0.0000
```

Principal peaks in the range 2θ = 15–90°, in order of rising 2θ:
2θ (°)  intensity
27.96  1000
28.08  689
30.72  645
37.50  263
43.02  555
53.57  260

***

3.
Theoretical XRD peak list of Sr2YTi2TlO7 for Cu Kα (λ = 1.5418 Å), from a crystal structure in Alexandria, relaxed with GGA-PBE.
Neutral-atom scattering factors, no anomalous dispersion.

Structural model:
```
Sr2YTi2TlO7
1.0
3.9042 0.0000 0.0000
0.0000 3.9042 0.0000
0.0000 0.0000 12.8435
Sr Y Ti Tl O
2 1 2 1 7
Direct
0.0000 0.0000 0.1858
0.0000 0.0000 0.8142
0.0000 0.0000 0.5000
0.5000 0.5000 0.3615
0.5000 0.5000 0.6385
0.5000 0.5000 0.0000
0.0000 0.0000 0.0000
0.0000 0.5000 0.3847
0.0000 0.5000 0.6153
0.5000 0.0000 0.3847
0.5000 0.0000 0.6153
0.5000 0.5000 0.2138
0.5000 0.5000 0.7862
```

Principal peaks in the range 2θ = 15–90°, in order of rising 2θ:
2θ (°)  intensity
23.82  168
31.00  1000
32.43  530
46.52  286
54.22  202
56.96  357

***

4.
Theoretical XRD peak list of LiPm12Co6 for Cu Kα (λ = 1.5418 Å), from a crystal structure in Alexandria, relaxed with GGA-PBE.
Neutral-atom scattering factors, no anomalous dispersion.

Structural model:
```
LiPm12Co6
1.0
-4.9855 4.9855 4.9855
4.9855 -4.9855 4.9855
4.9855 4.9855 -4.9855
Li Pm Co
1 12 6
Direct
0.0000 0.0000 0.0000
0.1126 0.3081 0.8046
0.1954 0.5035 0.3081
0.1954 0.8874 0.6919
0.3081 0.1954 0.5035
0.3081 0.8046 0.1126
0.4965 0.6919 0.8046
0.5035 0.3081 0.1954
0.6919 0.1954 0.8874
0.6919 0.8046 0.4965
0.8046 0.1126 0.3081
0.8046 0.4965 0.6919
0.8874 0.6919 0.1954
0.1114 0.5000 0.6114
0.3886 0.8886 0.5000
0.5000 0.3886 0.8886
0.5000 0.6114 0.1114
0.6114 0.1114 0.5000
0.8886 0.5000 0.3886
```

Principal peaks in the range 2θ = 15–90°, in order of rising 2θ:
2θ (°)  intensity
28.30  481
31.07  470
33.63  1000
46.44  253
53.59  389
56.93  366

***

5.
Theoretical XRD peak list of Pm2Ho7Er4 for Cu Kα (λ = 1.5418 Å), from a crystal structure in Alexandria, relaxed with GGA-PBE.
Neutral-atom scattering factors, no anomalous dispersion.

Structural model:
```
Pm2Ho7Er4
1.0
6.0335 0.0000 0.0000
-3.0168 5.2252 0.0000
0.0000 0.0000 13.2693
Pm Ho Er
2 7 4
Direct
0.3333 0.6667 0.0000
0.6667 0.3333 0.0000
0.0000 0.0000 0.0000
0.0000 0.3531 0.2170
0.0000 0.6469 0.7830
0.3531 0.0000 0.2170
0.3531 0.3531 0.7830
0.6469 0.0000 0.7830
0.6469 0.6469 0.2170
0.0000 0.0000 0.3951
0.0000 0.0000 0.6049
0.3333 0.6667 0.5000
0.6667 0.3333 0.5000
```

Principal peaks in the range 2θ = 15–90°, in order of rising 2θ:
2θ (°)  intensity
26.88  201
30.39  472
32.61  1000
36.04  312
51.22  187
52.54  301